Structure and simulated XRD peak list of RbLiVP2O8 (a crystal structure in Alexandria, relaxed with GGA+U; CuKα).

Most intense lines, 10° ≤ 2θ ≤ 80°, in order of rising 2θ:
2theta	Rel. int.	index
10.76	372	0 0 2
24.23	1000	1 1 2
25.79	1000	0 2 3
26.85	806	1 0 -4
27.07	653	1 2 0
27.24	825	1 2 -1
27.51	371	1 1 3
28.70	322	1 1 -4
32.66	346	0 0 6
37.35	468	1 1 -6

Crystal structure
Cell lengths 4.9259, 8.8993, 16.5332 Å; angles 90.00, 95.83, 90.00 degrees
Element x y z (fractional)
Rb  0.0866  0.1165  0.4031
Rb  0.0866  0.3835  0.9031
Rb  0.9134  0.6165  0.0969
Rb  0.9134  0.8835  0.5969
Li  0.2476  0.5617  0.5172
Li  0.2476  0.9383  0.0172
Li  0.7524  0.0617  0.9828
Li  0.7524  0.4383  0.4828
V  0.0852  0.0372  0.1677
V  0.0852  0.4628  0.6677
V  0.9148  0.5372  0.3323
V  0.9148  0.9628  0.8323
P  0.3736  0.1449  0.7375
P  0.3736  0.3551  0.2375
P  0.4277  0.7417  0.4071
P  0.4277  0.7583  0.9071
P  0.5723  0.2417  0.0929
P  0.5723  0.2583  0.5929
P  0.6264  0.6449  0.7625
P  0.6264  0.8551  0.2625
O  0.0583  0.0583  0.9152
O  0.0583  0.4417  0.4152
O  0.1541  0.0263  0.7468
O  0.1541  0.4737  0.2468
O  0.1552  0.7163  0.3561
O  0.1552  0.7837  0.8561
O  0.2844  0.1918  0.2481
O  0.2844  0.3082  0.7481
O  0.3585  0.6170  0.7103
O  0.3585  0.8830  0.2102
O  0.3762  0.1056  0.0903
O  0.3762  0.3944  0.5903
O  0.3893  0.7087  0.9930
O  0.3893  0.7913  0.4930
O  0.4271  0.1238  0.6408
O  0.4271  0.3762  0.1408
O  0.5729  0.6238  0.8592
O  0.5729  0.8762  0.3592
O  0.6107  0.2087  0.5070
O  0.6107  0.2913  0.0070
O  0.6238  0.6056  0.4097
O  0.6238  0.8944  0.9097
O  0.6415  0.1170  0.7897
O  0.6415  0.3830  0.2898
O  0.7156  0.6918  0.2519
O  0.7156  0.8082  0.7519
O  0.8448  0.2163  0.1439
O  0.8448  0.2837  0.6439
O  0.8459  0.5263  0.7532
O  0.8459  0.9737  0.2532
O  0.9417  0.5583  0.5848
O  0.9417  0.9417  0.0848